For LiEuTiO4, a DFT-relaxed cell (PBE, Alexandria) gives the computed PXRD pattern in this record (copper Kα).

Main lines, by angle (2θ from 5° to 70°):
2theta  d/Å  I (rel.)  index
7.35  12.029  100  1 0 0
27.96  3.192  68  2 1 1
32.62  2.745  26  3 1 1
33.51  2.674  13  0 2 0
33.81  2.651  13  0 0 2
37.38  2.406  10  5 0 0
44.70  2.027  8  5 1 1
45.62  1.989  8  4 0 2
48.34  1.883  17  0 2 2
56.56  1.627  9  2 3 1
56.97  1.616  9  2 1 3
62.66  1.483  8  5 2 2

Atomic structure:
a b c (Å): 12.029 5.349 5.302
angles (deg): 90.00 90.00 90.00
Space group Pbcm (No. 57)
Asymmetric unit:
1 Li 0.007 0.250 0.000 x4
2 Eu 0.385 0.016 0.250 x4
3 Ti 0.211 0.506 0.250 x4
4 O 0.062 0.515 0.250 x4
5 O 0.242 0.250 0.000 x4
6 O 0.259 0.750 0.000 x4
7 O 0.427 0.042 0.750 x4